Pr7Er3Mg: theoretical powder diffractogram (Cu Kα, 1.54184 Å), based on a DFT-relaxed cell (GGA-PBE, Alexandria).
Peak positions follow from Bragg's law for the DFT cell and can differ from measured ones.

Cell and atoms:
Unit cell a=7.808 b=7.808 c=6.486 alpha=92.88 beta=92.88 gamma=83.87
Positions (direct):
Pr  0.000  0.000  0.000
Pr  0.070  0.410  0.260
Pr  0.259  0.259  0.785
Pr  0.410  0.070  0.260
Pr  0.590  0.930  0.740
Pr  0.741  0.741  0.215
Pr  0.930  0.590  0.740
Er  0.338  0.662  0.000
Er  0.500  0.500  0.500
Er  0.662  0.338  0.000
Mg  0.000  0.000  0.500

The 12 most intense peaks (2θ = 15–90°), low angle first:
d (Å)  Position (°2θ)  I (rel.)
2.939  30.41  100.0
2.910  30.72  50.8
2.897  30.86  50.7
2.747  32.59  45.0
2.583  34.73  12.4
2.439  36.85  59.2
1.827  49.92  23.3
1.821  50.10  23.5
1.621  56.81  16.4
1.492  62.22  27.6
1.476  62.96  12.8
1.470  63.28  13.2

Pr5ErMg6: theoretical powder diffractogram (Cu Kα, 1.54184 Å), based on a DFT-relaxed cell (GGA-PBE, Alexandria).
Peak positions follow from Bragg's law for the DFT cell and can differ from measured ones.

Cell and atoms:
Unit cell a=8.691 b=8.691 c=7.791 alpha=90.00 beta=90.00 gamma=143.17
Positions (direct):
Pr  0.000  0.000  0.000
Pr  0.331  0.669  0.000
Pr  0.336  0.664  0.500
Pr  0.664  0.336  0.500
Pr  0.669  0.331  0.000
Er  0.000  0.000  0.500
Mg  0.164  0.836  0.255
Mg  0.164  0.836  0.745
Mg  0.500  0.500  0.254
Mg  0.500  0.500  0.746
Mg  0.836  0.164  0.255
Mg  0.836  0.164  0.745

The 12 most intense peaks (2θ = 15–90°), low angle first:
d (Å)  Position (°2θ)  I (rel.)
3.889  22.87  59.3
2.750  32.57  100.0
2.245  40.17  18.4
1.948  46.63  6.1
1.943  46.77  12.1
1.739  52.62  21.2
1.588  58.08  25.1
1.586  58.16  12.6
1.375  68.19  9.6
1.296  72.97  8.0
1.232  77.51  5.3
1.229  77.72  10.5

PrEr4Mg: theoretical powder diffractogram (Cu Kα, 1.54184 Å), based on a DFT-relaxed cell (GGA-PBE, Alexandria).
Peak positions follow from Bragg's law for the DFT cell and can differ from measured ones.

Cell and atoms:
Unit cell a=6.634 b=6.634 c=11.101 alpha=90.00 beta=90.00 gamma=131.82
Positions (direct):
Pr  0.178  0.822  0.500
Pr  0.822  0.178  0.000
Er  0.021  0.979  0.213
Er  0.171  0.829  0.939
Er  0.321  0.679  0.218
Er  0.496  0.504  0.476
Er  0.504  0.496  0.976
Er  0.679  0.321  0.718
Er  0.829  0.171  0.439
Er  0.979  0.021  0.713
Mg  0.348  0.652  0.728
Mg  0.652  0.348  0.228

The 12 most intense peaks (2θ = 15–90°), low angle first:
d (Å)  Position (°2θ)  I (rel.)
2.962  30.17  16.8
2.921  30.60  7.3
2.796  32.01  100.0
2.775  32.26  21.8
2.708  33.08  25.6
2.019  44.90  9.6
1.938  46.88  15.5
1.632  56.37  9.9
1.618  56.89  8.8
1.607  57.35  14.8
1.580  58.42  19.4
1.398  66.93  8.4